Structure and computed PXRD pattern of AlCuBr4 (a structure optimized by DFT (GGA-PBE); Cu Kα, 1.54184 Å).

Principal peaks in the range 2θ = 5–70°, most intense first:
2theta, Rel. int., (hkl)
27.40, 100, 1 1 2
46.14, 35, 2 0 4
52.80, 29, 3 1 2
44.21, 20, 2 2 0
30.86, 16, 2 0 0
56.16, 13, 1 1 6
33.43, 7, 0 0 4
22.60, 7, 1 0 2
15.29, 6, 1 0 0
17.40, 6, 1 0 1

Structural model:
```
data_AlCuBr4
_space_group_name_H-M_alt 'P -4 2 c'
_space_group_IT_number 112
_space_group_name_Hall 'P -4 2c'
_cell_length_a 5.7943
_cell_length_b 5.7943
_cell_length_c 10.7202
_cell_angle_alpha 90.00
_cell_angle_beta 90.00
_cell_angle_gamma 90.00
loop_
_atom_site_label
_atom_site_fract_x
_atom_site_fract_y
_atom_site_fract_z
Al1 0.0000 0.5000 0.2500
Cu1 0.0000 0.0000 0.0000
Br1 0.2399 0.2679 0.1263
```

Structure and computed PXRD pattern of Rb2AlHgBr6 (a structure optimized by DFT (GGA-PBE); Cu Kα, 1.54184 Å).

Principal peaks in the range 2θ = 5–70°, most intense first:
2theta, Rel. int., (hkl)
32.25, 100, 4 0 0
46.25, 69, 4 4 0
27.83, 47, 2 2 2
22.65, 38, 2 2 0
15.96, 36, 2 0 0
35.23, 31, 3 3 1
26.62, 31, 3 1 1
57.50, 23, 4 4 4
64.45, 17, 7 3 1
36.18, 16, 4 2 0

Structural model:
```
data_Rb2AlHgBr6
_space_group_name_H-M_alt 'F m -3 m'
_space_group_IT_number 225
_space_group_name_Hall '-F 4 2 3'
_cell_length_a 11.1046
_cell_length_b 11.1046
_cell_length_c 11.1046
_cell_angle_alpha 90.00
_cell_angle_beta 90.00
_cell_angle_gamma 90.00
loop_
_atom_site_label
_atom_site_fract_x
_atom_site_fract_y
_atom_site_fract_z
Rb1 0.2500 0.2500 0.2500
Al1 0.0000 0.0000 0.0000
Hg1 0.0000 0.0000 0.5000
Br1 0.0000 0.0000 0.2296
```

Structure and computed PXRD pattern of Rb2AlInBr6 (a structure optimized by DFT (GGA-PBE); Cu Kα, 1.54184 Å).

Principal peaks in the range 2θ = 5–70°, most intense first:
2theta, Rel. int., (hkl)
31.57, 100, 4 0 0
27.25, 80, 2 2 2
45.26, 66, 4 4 0
53.63, 27, 6 2 2
34.49, 25, 3 3 1
22.18, 24, 2 2 0
56.23, 21, 4 4 4
15.64, 20, 2 0 0
62.99, 15, 7 3 1
26.07, 14, 3 1 1

Structural model:
```
data_Rb2AlInBr6
_space_group_name_H-M_alt 'F m -3 m'
_space_group_IT_number 225
_space_group_name_Hall '-F 4 2 3'
_cell_length_a 11.3348
_cell_length_b 11.3348
_cell_length_c 11.3348
_cell_angle_alpha 90.00
_cell_angle_beta 90.00
_cell_angle_gamma 90.00
loop_
_atom_site_label
_atom_site_fract_x
_atom_site_fract_y
_atom_site_fract_z
Rb1 0.2500 0.2500 0.2500
Al1 0.0000 0.0000 0.0000
In1 0.0000 0.0000 0.5000
Br1 0.0000 0.0000 0.2241
```